No. 1
# LiNiPO4
Theoretical X-ray powder pattern, Cu Kα, 1.54184 Å. Input: a crystal structure in the Materials Project, relaxed with GGA+U.

Peak list (10 most intense, 2θ from 5° to 70°, by angle)
2theta, d_spacing, I (rel.), hkl
17.99, 4.932, 55, 0 0 2
20.46, 4.340, 52, 1 0 1
22.77, 3.906, 24, 0 1 2
24.79, 3.592, 90, 1 1 1
27.89, 3.199, 67, 0 2 0
34.84, 2.575, 28, 1 2 1
35.89, 2.502, 100, 1 1 3
38.36, 2.346, 29, 1 2 2
50.84, 1.796, 28, 2 2 2
54.70, 1.678, 18, 1 3 3

```
data_LiNiPO4
_chemical_formula_sum 'Li4 Ni4 P4 O16'
_symmetry_space_group_name_H-M 'P 21 21 21'
_symmetry_Int_Tables_number 19
_cell_length_a 4.8333
_cell_length_b 6.3974
_cell_length_c 9.8632
_cell_angle_alpha 90.00
_cell_angle_beta 90.00
_cell_angle_gamma 90.00
loop_
_symmetry_equiv_pos_as_xyz
'x,y,z'
'-x+1/2,-y,z+1/2'
'x+1/2,-y+1/2,-z'
'-x,y+1/2,-z+1/2'
loop_
_atom_site_label
_atom_site_fract_x
_atom_site_fract_y
_atom_site_fract_z
Li1 0.0692 0.2277 0.1691
Ni1 0.0177 0.5422 0.9786
P1 0.0870 0.9981 0.8459
O1 0.1799 0.0004 0.6961
O2 0.2187 0.7975 0.9121
O3 0.2299 0.5047 0.6419
O4 0.2343 0.1794 0.9242
```

---

No. 2
# LiNiPO4
Theoretical X-ray powder pattern, Cu Kα, 1.54184 Å. Input: a crystal structure in the Materials Project, relaxed with GGA+U.

Peak list (10 most intense, 2θ from 5° to 70°, by angle)
2theta, d_spacing, I (rel.), hkl
13.17, 6.725, 100, 0 0 2
19.89, 4.463, 21, 1 1 1
27.44, 3.251, 36, 0 2 2
30.30, 2.950, 26, 1 0 4
31.16, 2.870, 42, 1 2 2
32.03, 2.794, 24, 2 0 2
32.23, 2.777, 19, 2 1 1
34.63, 2.590, 15, 1 2 3
39.74, 2.268, 27, 2 0 4
49.66, 1.836, 18, 0 4 1

```
data_LiNiPO4
_chemical_formula_sum 'Li8 Ni8 P8 O32'
_symmetry_space_group_name_H-M 'P b c a'
_symmetry_Int_Tables_number 61
_cell_length_a 6.1446
_cell_length_b 7.4132
_cell_length_c 13.4496
_cell_angle_alpha 90.00
_cell_angle_beta 90.00
_cell_angle_gamma 90.00
loop_
_symmetry_equiv_pos_as_xyz
'x,y,z'
'-x,-y,-z'
'-x+1/2,-y,z+1/2'
'x+1/2,y,-z+1/2'
'x+1/2,-y+1/2,-z'
'-x+1/2,y+1/2,z'
'-x,y+1/2,-z+1/2'
'x,-y+1/2,z+1/2'
loop_
_atom_site_label
_atom_site_fract_x
_atom_site_fract_y
_atom_site_fract_z
Li1 0.0587 0.1735 0.0212
Ni1 0.2121 0.6865 0.7147
P1 0.1100 0.0396 0.3722
O1 0.0074 0.1474 0.6402
O2 0.0470 0.6979 0.1055
O3 0.2028 0.0688 0.2636
O4 0.2112 0.5294 0.4495
```

---

No. 3
# LiNiP2O7
Theoretical X-ray powder pattern, Cu Kα, 1.54184 Å. Input: a crystal structure in the Materials Project, relaxed with GGA+U.

Peak list (10 most intense, 2θ from 5° to 70°, by angle)
2theta, d_spacing, I (rel.), hkl
13.96, 6.346, 41, 0 1 0
15.27, 5.801, 29, 1 0 0
16.29, 5.442, 100, 1 0 1
20.18, 4.401, 46, 0 1 -1
28.11, 3.175, 55, 0 0 2
28.53, 3.129, 57, 2 0 1
29.97, 2.982, 38, 2 1 1
30.99, 2.885, 59, 0 2 1
32.04, 2.794, 43, 0 2 -1
37.12, 2.422, 27, 1 0 -2

```
data_LiNiP2O7
_chemical_formula_sum 'Li2 Ni2 P4 O14'
_symmetry_space_group_name_H-M 'P -1'
_symmetry_Int_Tables_number 2
_cell_length_a 6.3418
_cell_length_b 6.4155
_cell_length_c 6.9008
_cell_angle_alpha 84.72
_cell_angle_beta 67.06
_cell_angle_gamma 81.87
loop_
_symmetry_equiv_pos_as_xyz
'x,y,z'
'-x,-y,-z'
loop_
_atom_site_label
_atom_site_fract_x
_atom_site_fract_y
_atom_site_fract_z
Li1 0.2121 0.0086 0.3313
Ni1 0.4078 0.3554 0.7173
P1 0.1543 0.6062 0.1450
P2 0.2894 0.8645 0.7343
O1 0.0955 0.4045 0.7021
O2 0.1146 0.9498 0.6390
O3 0.1417 0.7872 0.9711
O4 0.2710 0.4011 0.0355
O5 0.2759 0.6892 0.2707
O6 0.4368 0.0278 0.7484
O7 0.4482 0.6684 0.6216
```

---

No. 4
# LiNiPO4
Theoretical X-ray powder pattern, Cu Kα, 1.54184 Å. Input: a crystal structure in the Materials Project, relaxed with GGA+U.

Peak list (10 most intense, 2θ from 5° to 70°, by angle)
2theta, d_spacing, I (rel.), hkl
15.18, 5.838, 59, 1 0 -2
15.46, 5.730, 50, 1 0 2
19.72, 4.501, 77, 0 0 4
20.79, 4.273, 87, 0 1 2
23.58, 3.773, 100, 2 0 0
29.99, 2.979, 69, 2 1 0
35.16, 2.552, 30, 0 1 6
36.41, 2.467, 34, 2 1 4
36.97, 2.431, 50, 1 1 -6
37.36, 2.407, 41, 1 1 6

```
data_LiNiPO4
_chemical_formula_sum 'Li8 Ni8 P8 O32'
_symmetry_space_group_name_H-M 'P 1 21/c 1'
_symmetry_Int_Tables_number 14
_cell_length_a 7.5475
_cell_length_b 4.8547
_cell_length_c 18.0069
_cell_angle_alpha 90.00
_cell_angle_beta 91.08
_cell_angle_gamma 90.00
loop_
_symmetry_equiv_pos_as_xyz
'x,y,z'
'-x,-y,-z'
'-x,y+1/2,-z+1/2'
'x,-y+1/2,z+1/2'
loop_
_atom_site_label
_atom_site_fract_x
_atom_site_fract_y
_atom_site_fract_z
Li1 0.0064 0.1420 0.1807
Li2 0.4858 0.2337 0.0881
Ni1 0.1505 0.7275 0.5150
Ni2 0.3354 0.2241 0.2714
P1 0.2507 0.2069 0.9346
P2 0.2588 0.6488 0.1805
O1 0.0570 0.0786 0.9257
O2 0.1190 0.0078 0.7283
O3 0.2456 0.5378 0.6924
O4 0.2472 0.5636 0.0983
O5 0.2517 0.5253 0.9335
O6 0.3211 0.0877 0.0093
O7 0.3600 0.0897 0.8697
O8 0.4405 0.5235 0.2099
```